Calculated PXRD pattern of KSmEuWO6 for Cu Kα, 1.54184 Å, from a structure optimized by DFT (GGA+U).

Structural model:
abc: 8.4351 8.4361 8.4753
angles: 90.00 90.00 90.00
Fractional positions:
K1 0.2500 0.2500 0.2500
K2 0.2500 0.7500 0.2500
K3 0.7500 0.2500 0.7500
K4 0.7500 0.7500 0.7500
Sm1 0.0000 0.0000 0.0000
Sm2 0.0000 0.5000 0.5000
Sm3 0.5000 0.0000 0.5000
Sm4 0.5000 0.5000 0.0000
Eu1 0.2500 0.2500 0.7500
Eu2 0.2500 0.7500 0.7500
Eu3 0.7500 0.2500 0.2500
Eu4 0.7500 0.7500 0.2500
W1 0.0000 0.0000 0.5000
W2 0.0000 0.5000 0.0000
W3 0.5000 0.0000 0.0000
W4 0.5000 0.5000 0.5000
O1 0.0220 0.2291 0.4746
O2 0.0220 0.2709 0.0254
O3 0.0365 0.0245 0.7301
O4 0.0365 0.4755 0.7699
O5 0.2289 0.5271 0.0161
O6 0.2289 0.9729 0.4839
O7 0.2711 0.5271 0.4839
O8 0.2711 0.9729 0.0161
O9 0.4635 0.0245 0.7699
O10 0.4635 0.4755 0.7301
O11 0.4780 0.2291 0.0254
O12 0.4780 0.2709 0.4746
O13 0.5220 0.7291 0.5254
O14 0.5220 0.7709 0.9746
O15 0.5365 0.5245 0.2699
O16 0.5365 0.9755 0.2301
O17 0.7289 0.0271 0.9839
O18 0.7289 0.4729 0.5161
O19 0.7711 0.0271 0.5161
O20 0.7711 0.4729 0.9839
O21 0.9635 0.5245 0.2301
O22 0.9635 0.9755 0.2699
O23 0.9780 0.7291 0.9746
O24 0.9780 0.7709 0.5254

Principal peaks in the range 15 to 90 degrees two-theta, in order of falling intensity:
2θ (°), I_rel
29.91, 100
53.15, 28
42.88, 18
53.01, 14
70.60, 12
62.10, 11
42.67, 10
21.01, 10



Calculated PXRD pattern of KSmEuWO6 for Cu Kα, 1.54184 Å, from a structure optimized by DFT (GGA+U).

Structural model:
abc: 6.0050 6.0050 6.0050
angles: 60.00 60.00 60.00
Fractional positions:
K1 0.0000 0.0000 0.0000
Sm1 0.2500 0.2500 0.2500
Eu1 0.5000 0.5000 0.5000
W1 0.7500 0.7500 0.7500
O1 0.5199 0.5199 0.9801
O2 0.5199 0.9801 0.5199
O3 0.5199 0.9801 0.9801
O4 0.9801 0.5199 0.5199
O5 0.9801 0.5199 0.9801
O6 0.9801 0.9801 0.5199

Principal peaks in the range 15 to 90 degrees two-theta, in order of falling intensity:
2θ (°), I_rel
29.76, 100
52.81, 40
42.58, 29
85.58, 22
61.80, 18
70.08, 18
20.92, 15
18.09, 13



Calculated PXRD pattern of KEuSnWO6 for Cu Kα, 1.54184 Å, from a structure optimized by DFT (GGA+U).

Structural model:
abc: 6.0077 6.0077 8.4323
angles: 90.00 90.00 90.00
Fractional positions:
K1 0.0000 0.0000 0.2500
K2 0.0000 0.0000 0.7500
Eu1 0.0000 0.5000 0.0000
Eu2 0.5000 0.0000 0.5000
Sn1 0.5000 0.5000 0.2500
Sn2 0.5000 0.5000 0.7500
W1 0.0000 0.5000 0.5000
W2 0.5000 0.0000 0.0000
O1 0.0000 0.5000 0.2696
O2 0.0000 0.5000 0.7304
O3 0.2375 0.2776 0.5000
O4 0.2375 0.7224 0.5000
O5 0.2776 0.2375 0.0000
O6 0.2776 0.7625 0.0000
O7 0.5000 0.0000 0.2304
O8 0.5000 0.0000 0.7696
O9 0.7224 0.2375 0.0000
O10 0.7224 0.7625 0.0000
O11 0.7625 0.2776 0.5000
O12 0.7625 0.7224 0.5000

Principal peaks in the range 15 to 90 degrees two-theta, in order of falling intensity:
2θ (°), I_rel
29.86, 100
29.74, 51
52.86, 41
42.56, 30
20.91, 24
53.07, 20
62.03, 19
70.07, 19



Calculated PXRD pattern of KEuSnWO6 for Cu Kα, 1.54184 Å, from a structure optimized by DFT (GGA+U).

Structural model:
abc: 5.9964 5.9964 5.9964
angles: 60.00 60.00 60.00
Fractional positions:
K1 0.0000 0.0000 0.0000
Eu1 0.2500 0.2500 0.2500
Sn1 0.5000 0.5000 0.5000
W1 0.7500 0.7500 0.7500
O1 0.5202 0.5202 0.9798
O2 0.5202 0.9798 0.5202
O3 0.5202 0.9798 0.9798
O4 0.9798 0.5202 0.5202
O5 0.9798 0.5202 0.9798
O6 0.9798 0.9798 0.5202

Principal peaks in the range 15 to 90 degrees two-theta, in order of falling intensity:
2θ (°), I_rel
29.80, 100
52.89, 41
42.65, 30
20.95, 24
85.73, 22
61.90, 19
70.19, 19
47.98, 10



Calculated PXRD pattern of KTbEuWO6 for Cu Kα, 1.54184 Å, from a structure optimized by DFT (GGA+U).

Structural model:
abc: 5.9471 5.9471 5.9471
angles: 60.00 60.00 60.00
Fractional positions:
K1 0.0000 0.0000 0.0000
Tb1 0.2500 0.2500 0.2500
Eu1 0.5000 0.5000 0.5000
W1 0.7500 0.7500 0.7500
O1 0.5175 0.5175 0.9825
O2 0.5175 0.9825 0.5175
O3 0.5175 0.9825 0.9825
O4 0.9825 0.5175 0.5175
O5 0.9825 0.5175 0.9825
O6 0.9825 0.9825 0.5175

Principal peaks in the range 15 to 90 degrees two-theta, in order of falling intensity:
2θ (°), I_rel
30.05, 100
53.37, 40
43.02, 29
86.62, 22
62.47, 18
70.86, 18
21.13, 16
18.27, 12



Calculated PXRD pattern of KEuW2O8 for Cu Kα, 1.54184 Å, from a structure optimized by DFT (GGA+U).

Structural model:
abc: 7.7523 7.7523 7.4846
angles: 117.48 117.48 88.97
Fractional positions:
K1 0.2065 0.7935 0.7500
K2 0.7935 0.2065 0.2500
Eu1 0.2259 0.7741 0.2500
Eu2 0.7741 0.2259 0.7500
W1 0.3000 0.3101 0.2849
W2 0.3101 0.3000 0.7849
W3 0.6899 0.7000 0.2151
W4 0.7000 0.6899 0.7151
O1 0.0458 0.2204 0.6833
O2 0.0653 0.3733 0.1322
O3 0.2204 0.0458 0.1833
O4 0.2513 0.3753 0.5575
O5 0.3720 0.5884 0.0279
O6 0.3733 0.0653 0.6322
O7 0.3753 0.2513 0.0575
O8 0.4116 0.6280 0.4721
O9 0.5884 0.3720 0.5279
O10 0.6247 0.7487 0.9425
O11 0.6267 0.9347 0.3678
O12 0.6280 0.4116 0.9721
O13 0.7487 0.6247 0.4425
O14 0.7796 0.9542 0.8167
O15 0.9347 0.6267 0.8678
O16 0.9542 0.7796 0.3167

Principal peaks in the range 15 to 90 degrees two-theta, in order of falling intensity:
2θ (°), I_rel
26.76, 100
28.99, 85
32.94, 43
31.34, 31
16.32, 29
46.13, 22
27.71, 19
55.62, 16